1.
Simulated powder XRD pattern
Compound: Bi5Pb3
Radiation: CuKα
Structure: a cell relaxed with PBE

Crystal structure
```
16
Lattice="4.951 0.000 0.000 0.000 4.951 0.000 0.000 0.000 21.228" Properties=species:S:1:pos:R:3 pbc="T T T"
Bi 0.000 0.000 0.000
Bi 0.000 0.000 4.874
Bi 0.000 0.000 16.355
Bi 0.000 2.476 2.625
Bi 0.000 2.476 7.989
Bi 2.476 0.000 13.239
Bi 2.476 0.000 18.603
Bi 2.476 2.476 5.741
Bi 2.476 2.476 10.614
Bi 2.476 2.476 15.488
Pb 0.000 0.000 10.614
Pb 0.000 2.476 13.204
Pb 0.000 2.476 18.638
Pb 2.476 0.000 2.590
Pb 2.476 0.000 8.024
Pb 2.476 2.476 0.000
```

Principal peaks in the range 5 to 70 degrees two-theta, by intensity:
30.59 deg, I 100; 36.29 deg, I 34; 61.77 deg, I 28; 50.41 deg, I 21; 33.78 deg, I 16; 52.26 deg, I 12; 63.68 deg, I 11; 58.45 deg, I 10; 27.68 deg, I 3; 34.69 deg, I 3



2.
Simulated powder XRD pattern
Compound: BiPb
Radiation: CuKα
Structure: a cell relaxed with PBE

Crystal structure
```
4
Lattice="3.387 0.000 0.000 0.000 6.013 0.000 0.000 0.000 6.580" Properties=species:S:1:pos:R:3 pbc="T T T"
Bi 0.000 0.000 0.000
Bi 1.694 3.006 3.290
Pb 0.000 0.000 3.290
Pb 1.694 3.006 0.000
```

Principal peaks in the range 5 to 70 degrees two-theta, by intensity:
30.28 deg, I 100; 41.09 deg, I 90; 27.11 deg, I 66; 29.72 deg, I 52; 40.65 deg, I 46; 60.61 deg, I 29; 64.90 deg, I 24; 53.09 deg, I 22; 69.86 deg, I 19; 61.59 deg, I 14



3.
Simulated powder XRD pattern
Compound: Bi5Pb6
Radiation: CuKα
Structure: a cell relaxed with PBE

Crystal structure
```
11
Lattice="-2.925 3.537 9.070 2.925 -3.537 9.070 2.925 3.537 -9.070" Properties=species:S:1:pos:R:3 pbc="T T T"
Bi 0.000 0.000 0.000
Bi 2.925 0.000 3.229
Bi 0.000 0.000 6.351
Bi 0.000 0.000 11.788
Bi 0.000 3.537 5.841
Pb 2.925 -1.775 6.124
Pb 2.925 1.673 0.000
Pb 0.000 1.763 2.945
Pb 2.925 1.775 6.124
Pb 0.000 1.864 9.070
Pb 0.000 5.312 2.945
```

Principal peaks in the range 5 to 70 degrees two-theta, by intensity:
33.10 deg, I 100; 30.56 deg, I 32; 29.55 deg, I 31; 55.95 deg, I 23; 43.03 deg, I 23; 54.71 deg, I 20; 61.26 deg, I 12; 69.45 deg, I 11; 60.66 deg, I 8; 51.68 deg, I 7



4.
Simulated powder XRD pattern
Compound: Bi7Pd5Pb
Radiation: CuKα
Structure: a cell relaxed with PBE

Crystal structure
```
13
Lattice="-3.019 4.588 6.154 3.019 -4.588 6.154 3.019 4.588 -6.154" Properties=species:S:1:pos:R:3 pbc="T T T"
Bi 0.000 0.000 0.000
Bi 3.019 -1.613 3.152
Bi 0.000 0.000 4.119
Bi 3.019 1.613 3.152
Bi 0.000 2.803 1.711
Bi 0.000 6.374 1.711
Bi 0.000 4.588 4.600
Pd 1.596 2.320 -0.717
Pd 4.441 2.320 -0.717
Pd 3.019 0.000 5.712
Pd -1.423 2.268 5.436
Pd 1.423 2.268 5.436
Pb 0.000 0.000 7.268
```

Principal peaks in the range 5 to 70 degrees two-theta, by intensity:
32.83 deg, I 100; 38.58 deg, I 52; 29.59 deg, I 31; 39.54 deg, I 29; 23.76 deg, I 23; 54.59 deg, I 21; 36.01 deg, I 20; 26.26 deg, I 16; 68.82 deg, I 16; 22.80 deg, I 15



5.
Simulated powder XRD pattern
Compound: Bi2PdPb3
Radiation: CuKα
Structure: a cell relaxed with PBE

Crystal structure
```
12
Lattice="4.860 -4.692 0.000 4.860 4.692 0.000 -1.161 0.000 8.000" Properties=species:S:1:pos:R:3 pbc="T T T"
Bi 1.956 1.246 1.056
Bi 1.375 -1.246 5.056
Bi 7.184 1.246 2.944
Bi 6.603 -1.246 6.944
Pd 4.570 0.792 2.000
Pd 3.989 -0.792 6.000
Pb 4.570 3.691 2.000
Pb 3.217 1.534 4.465
Pb 4.761 1.534 7.535
Pb 3.798 -1.534 0.465
Pb 5.341 -1.534 3.535
Pb 3.989 -3.691 6.000
```

Principal peaks in the range 5 to 70 degrees two-theta, by intensity:
27.76 deg, I 100; 32.97 deg, I 62; 34.93 deg, I 49; 27.06 deg, I 44; 38.51 deg, I 40; 40.92 deg, I 27; 38.37 deg, I 23; 58.69 deg, I 23; 51.97 deg, I 17; 31.62 deg, I 16



6.
Simulated powder XRD pattern
Compound: Bi2PdPb
Radiation: CuKα
Structure: a cell relaxed with PBE

Crystal structure
```
8
Lattice="4.238 0.000 0.000 0.000 8.716 0.000 -2.044 0.000 5.865" Properties=species:S:1:pos:R:3 pbc="T T T"
Bi 0.029 0.430 1.673
Bi 0.029 3.928 1.673
Bi 2.165 4.788 4.192
Bi 2.165 8.286 4.192
Pd 0.042 6.537 3.067
Pd 2.152 2.179 2.798
Pb 0.049 2.179 5.073
Pb 2.145 6.537 0.792
```

Principal peaks in the range 5 to 70 degrees two-theta, by intensity:
30.47 deg, I 100; 30.32 deg, I 77; 34.45 deg, I 74; 42.67 deg, I 51; 32.62 deg, I 51; 33.01 deg, I 49; 36.95 deg, I 42; 30.92 deg, I 38; 31.33 deg, I 37; 32.21 deg, I 34



7.
Simulated powder XRD pattern
Compound: BiPd2Pb6
Radiation: CuKα
Structure: a cell relaxed with PBE

Crystal structure
```
18
Lattice="-4.641 4.758 5.592 4.641 -4.758 5.592 4.641 4.758 -5.592" Properties=species:S:1:pos:R:3 pbc="T T T"
Bi 0.000 0.000 0.000
Bi 0.000 0.000 5.592
Pd 4.641 0.000 1.429
Pd 0.000 3.223 0.000
Pd 0.000 6.294 0.000
Pd 0.000 4.758 4.163
Pb 4.641 2.765 -2.823
Pb 2.747 1.822 0.000
Pb 6.536 1.822 0.000
Pb 1.801 4.758 -1.881
Pb 2.840 0.000 3.711
Pb 0.000 1.993 2.769
Pb 4.641 2.765 2.823
Pb 1.801 4.758 1.881
Pb 2.840 0.000 7.473
Pb -1.895 2.936 5.592
Pb 1.895 2.936 5.592
Pb 0.000 1.993 8.414
```

Principal peaks in the range 5 to 70 degrees two-theta, by intensity:
31.32 deg, I 100; 33.89 deg, I 57; 37.80 deg, I 40; 32.20 deg, I 36; 35.19 deg, I 35; 60.07 deg, I 26; 35.53 deg, I 24; 37.30 deg, I 24; 30.38 deg, I 23; 32.01 deg, I 19



8.
Simulated powder XRD pattern
Compound: BiPd2Pb
Radiation: CuKα
Structure: a cell relaxed with PBE

Crystal structure
```
16
Lattice="4.419 -3.647 0.000 4.419 3.647 0.000 0.000 0.000 10.753" Properties=species:S:1:pos:R:3 pbc="T T T"
Bi 1.989 0.892 0.000
Bi 1.989 -0.892 5.377
Bi 6.849 0.892 0.000
Bi 6.849 -0.892 5.377
Pd 2.172 0.902 2.982
Pd 4.419 2.395 10.205
Pd 2.172 -0.902 8.359
Pd 4.419 0.611 4.780
Pd 4.419 -0.611 10.156
Pd 6.666 0.902 2.982
Pd 4.419 -2.395 4.829
Pd 6.666 -0.902 8.359
Pb 4.419 2.678 2.379
Pb 4.419 0.877 7.669
Pb 4.419 -0.877 2.293
Pb 4.419 -2.678 7.755
```

Principal peaks in the range 5 to 70 degrees two-theta, by intensity:
32.91 deg, I 100; 40.80 deg, I 76; 33.33 deg, I 34; 35.10 deg, I 32; 53.67 deg, I 29; 39.23 deg, I 22; 26.10 deg, I 21; 65.97 deg, I 16; 54.92 deg, I 15; 50.02 deg, I 15



9.
Simulated powder XRD pattern
Compound: BiPdPb
Radiation: CuKα
Structure: a cell relaxed with PBE

Crystal structure
```
12
Lattice="9.669 0.000 0.000 0.000 4.806 0.000 0.000 0.000 6.863" Properties=species:S:1:pos:R:3 pbc="T T T"
Bi 1.244 1.202 0.072
Bi 3.590 3.605 3.504
Bi 6.079 1.202 3.359
Bi 8.424 3.605 6.791
Pd 1.199 3.605 5.233
Pd 3.635 1.202 1.802
Pd 6.034 3.605 5.061
Pd 8.469 1.202 1.630
Pb 1.187 1.202 3.498
Pb 3.648 3.605 0.066
Pb 6.021 1.202 6.797
Pb 8.482 3.605 3.365
```

Principal peaks in the range 5 to 70 degrees two-theta, by intensity:
37.18 deg, I 100; 26.14 deg, I 33; 67.04 deg, I 21; 37.42 deg, I 20; 25.97 deg, I 17; 67.35 deg, I 14; 53.79 deg, I 14; 22.54 deg, I 13; 60.65 deg, I 10; 45.92 deg, I 8



10.
Simulated powder XRD pattern
Compound: Bi5Pd12Pb2
Radiation: CuKα
Structure: a cell relaxed with PBE

Crystal structure
```
19
Lattice="7.803 -3.697 0.000 7.803 3.697 0.000 -1.671 0.000 7.098" Properties=species:S:1:pos:R:3 pbc="T T T"
Bi 0.000 0.000 0.000
Bi 3.281 0.000 0.802
Bi 3.239 0.000 5.025
Bi 10.696 0.000 2.073
Bi 10.654 0.000 6.297
Pd 0.366 0.000 5.107
Pd 4.325 1.431 2.926
Pd 5.852 1.425 0.369
Pd 8.084 1.425 6.729
Pd 5.933 0.000 5.618
Pd 9.611 1.431 4.172
Pd 4.325 -1.431 2.926
Pd 8.002 0.000 1.480
Pd 5.852 -1.425 0.369
Pd 8.084 -1.425 6.729
Pd 9.611 -1.431 4.172
Pd 13.569 0.000 1.991
Pb 6.968 1.704 3.549
Pb 6.968 -1.704 3.549
```

Principal peaks in the range 5 to 70 degrees two-theta, by intensity:
38.11 deg, I 100; 27.23 deg, I 97; 42.75 deg, I 80; 35.05 deg, I 74; 39.11 deg, I 61; 44.37 deg, I 55; 36.33 deg, I 53; 36.81 deg, I 48; 38.66 deg, I 46; 40.48 deg, I 42



11.
Simulated powder XRD pattern
Compound: Bi3PdPb
Radiation: CuKα
Structure: a cell relaxed with PBE

Crystal structure
```
10
Lattice="5.453 0.000 0.000 0.000 8.694 0.000 -2.687 0.000 6.406" Properties=species:S:1:pos:R:3 pbc="T T T"
Bi 0.509 2.174 0.790
Bi -0.748 0.124 4.841
Bi -0.748 4.223 4.841
Bi 3.514 4.471 1.565
Bi 3.514 8.570 1.565
Bi 2.258 6.521 5.616
Pd 2.206 6.521 0.090
Pd 0.561 2.174 6.316
Pb 0.760 6.521 2.584
Pb 2.006 2.174 3.822
```

Principal peaks in the range 5 to 70 degrees two-theta, by intensity:
27.17 deg, I 100; 34.79 deg, I 36; 33.63 deg, I 34; 41.54 deg, I 32; 35.88 deg, I 28; 28.39 deg, I 22; 29.73 deg, I 22; 37.23 deg, I 20; 35.72 deg, I 16; 56.03 deg, I 15



12.
Simulated powder XRD pattern
Compound: Bi3Pd7Pb2
Radiation: CuKα
Structure: a cell relaxed with PBE

Crystal structure
```
12
Lattice="4.294 0.000 0.000 2.046 5.265 0.000 0.308 2.069 11.288" Properties=species:S:1:pos:R:3 pbc="T T T"
Bi 0.000 0.000 0.000
Bi 1.219 2.215 4.860
Bi 5.429 5.120 6.427
Pd 1.023 2.632 0.000
Pd 1.203 2.932 8.518
Pd 1.283 0.916 2.317
Pd 3.296 4.610 4.627
Pd 3.352 2.724 6.660
Pd 5.365 6.418 8.970
Pd 5.444 4.403 2.770
Pb 3.325 4.572 9.264
Pb 3.323 2.762 2.024
```

Principal peaks in the range 5 to 70 degrees two-theta, by intensity:
38.24 deg, I 100; 39.90 deg, I 94; 38.38 deg, I 80; 31.99 deg, I 59; 39.69 deg, I 55; 27.87 deg, I 53; 32.90 deg, I 53; 42.12 deg, I 48; 36.99 deg, I 46; 34.10 deg, I 44